This entry pairs a crystal structure of NpRuO6 with its calculated powder diffraction line list. Radiation: Cu Kα (λ = 1.5418 Å). Structure: a PBE-relaxed structure.
No peak broadening, texture or thermal motion is included.

Crystal structure
```
NpRuO6
1.0
4.7745 -2.9536 0.0000
4.7745 2.9536 0.0000
-1.2317 0.0000 7.4089
Np Ru O
2 2 12
direct
0.0374 0.9626 0.7500
0.9626 0.0374 0.2500
0.0000 0.5000 0.0000
0.5000 0.0000 0.5000
0.0908 0.1989 0.4832
0.1519 0.5901 0.2170
0.1989 0.0908 0.9832
0.1992 0.6041 0.8518
0.3959 0.8008 0.6482
0.4099 0.8481 0.2830
0.5901 0.1519 0.7170
0.6041 0.1992 0.3518
0.8008 0.3959 0.1482
0.8011 0.9092 0.0168
0.8481 0.4099 0.7830
0.9092 0.8011 0.5168
```

Top 10 peaks for 2θ = 10–90°, in order of rising 2θ:
17.7°, 5.005 Å, rel. 100.0
22.3°, 3.989 Å, rel. 30.5
28.1°, 3.176 Å, rel. 35.0
28.7°, 3.110 Å, rel. 25.3
31.3°, 2.861 Å, rel. 17.0
32.3°, 2.773 Å, rel. 18.0
33.1°, 2.704 Å, rel. 25.7
35.9°, 2.502 Å, rel. 28.9
37.6°, 2.392 Å, rel. 20.9
39.0°, 2.309 Å, rel. 17.6